# 1
For ThGa2Ag2, a crystal structure in Alexandria, relaxed with GGA-PBE gives the theoretical X-ray diffraction stick pattern in this record (a wavelength of 1.5418 Å).

Crystal structure
```
ThGa2Ag2
1.0
-2.1238 2.1622 11.2950
2.1238 -2.1622 11.2950
2.1238 2.1622 -11.2950
Th Ga Ag
2 4 4
Cartesian
0.0000 1.0811 1.8675
2.1238 1.0811 9.4275
2.1238 1.0811 -3.0851
2.1238 1.0811 -0.6182
0.0000 1.0811 11.9133
0.0000 1.0811 14.3801
2.1238 -1.0811 6.6609
2.1238 1.0811 4.6173
0.0000 1.0811 6.6777
0.0000 3.2432 4.6341
```

Most intense lines, 2θ from 10° to 90°, low angle first:
2θ/deg	Rel. int.
23.7	19
28.8	18
30.5	20
33.6	100
34.9	22
38.1	19
41.6	21
41.8	27
42.6	25
61.2	17

# 2
For Na3Tl6Sn2, a crystal structure in Alexandria, relaxed with GGA-PBE gives the theoretical X-ray diffraction stick pattern in this record (a wavelength of 1.5418 Å).

Crystal structure
```
Na3Tl6Sn2
1.0
5.9871 0.0000 0.0000
0.0000 9.9647 0.0000
0.0000 0.0000 11.1680
Na Tl Sn
6 12 4
Cartesian
0.0000 0.0000 0.0000
0.0000 4.9823 3.4359
0.0000 4.9823 7.7322
2.9936 0.0000 2.1481
2.9936 0.0000 9.0199
2.9936 4.9823 5.5840
0.0915 1.6779 2.6849
0.0915 1.6779 8.4832
1.3430 3.9572 0.0000
1.6506 8.9395 5.5840
2.9020 6.6603 2.8991
2.9020 6.6603 8.2689
3.0851 3.3044 2.8991
3.0851 3.3044 8.2689
4.3366 1.0252 5.5840
4.6441 6.0075 0.0000
5.8956 8.2867 2.6849
5.8956 8.2867 8.4832
1.3172 2.3128 5.5840
1.6764 7.2951 0.0000
4.3108 2.6695 0.0000
4.6699 7.6518 5.5840
```

Most intense lines, 2θ from 10° to 90°, low angle first:
2θ/deg	Rel. int.
11.9	46
17.3	27
17.8	27
23.5	35
30.8	44
31.8	43
32.1	63
34.0	100
34.8	71
45.0	26

# 3
For PmHg2Pd5, a crystal structure in Alexandria, relaxed with GGA-PBE gives the theoretical X-ray diffraction stick pattern in this record (a wavelength of 1.5418 Å).

Crystal structure
```
PmHg2Pd5
1.0
8.3351 -2.1323 0.0000
8.3351 2.1323 0.0000
-1.0821 0.0000 4.1255
Pm Hg Pd
1 2 5
Cartesian
0.0000 0.0000 0.0000
3.9412 0.0000 1.0417
11.6469 0.0000 3.0837
1.4480 0.0000 2.5875
5.2647 0.0000 3.5978
7.7941 0.0000 2.0627
10.3234 0.0000 0.5277
14.1401 0.0000 1.5380
```

Most intense lines, 2θ from 10° to 90°, low angle first:
2θ/deg	Rel. int.
11.0	8
37.2	100
42.4	35
45.0	15
61.5	12
63.5	15
74.1	20
74.2	7
77.8	6
79.4	6

# 4
For WAu, a crystal structure in Alexandria, relaxed with GGA-PBE gives the theoretical X-ray diffraction stick pattern in this record (a wavelength of 1.5418 Å).

Crystal structure
```
WAu
1.0
2.7642 0.0000 0.0000
0.0000 2.7642 0.0000
0.0000 0.0000 8.8463
W Au
2 2
Cartesian
0.6911 0.6911 1.1079
2.0732 2.0732 7.7384
0.6911 0.6911 5.6050
2.0732 2.0732 3.2413
```

Most intense lines, 2θ from 10° to 90°, low angle first:
2θ/deg	Rel. int.
38.4	100
40.8	21
46.5	30
53.0	1
63.5	23
67.8	10
72.7	15
80.7	24
82.3	11
88.4	2

# 5
For AcAlSn3, a crystal structure in Alexandria, relaxed with GGA-PBE gives the theoretical X-ray diffraction stick pattern in this record (a wavelength of 1.5418 Å).

Crystal structure
```
AcAlSn3
1.0
2.4505 -13.4216 0.0000
2.4505 13.4216 0.0000
0.0000 0.0000 4.5273
Ac Al Sn
2 2 6
Cartesian
2.4505 8.8445 0.0000
2.4505 -8.8445 0.0000
2.4505 3.2436 2.2636
2.4505 -3.2436 2.2636
2.4505 11.7952 2.2636
2.4505 5.9267 2.2636
2.4505 1.5792 0.0000
2.4505 -1.5792 0.0000
2.4505 -5.9267 2.2636
2.4505 -11.7952 2.2636
```

Most intense lines, 2θ from 10° to 90°, low angle first:
2θ/deg	Rel. int.
26.6	22
28.0	26
28.6	100
31.6	37
35.2	23
36.7	30
39.8	24
55.2	19
58.6	16
62.3	14

# 6
For TiBiPO2, a crystal structure in Alexandria, relaxed with GGA-PBE gives the theoretical X-ray diffraction stick pattern in this record (a wavelength of 1.5418 Å).

Crystal structure
```
TiBiPO2
1.0
3.9242 0.0000 0.0000
0.0000 3.9242 0.0000
0.0000 0.0000 5.1223
Ti Bi P O
1 1 1 2
Cartesian
0.0000 0.0000 0.0000
1.9621 1.9621 2.5611
0.0000 0.0000 2.5611
0.0000 1.9621 0.0000
1.9621 0.0000 0.0000
```

Most intense lines, 2θ from 10° to 90°, low angle first:
2θ/deg	Rel. int.
17.3	38
22.7	27
28.7	100
32.3	47
35.0	30
36.8	52
46.3	27
48.4	31
55.3	33
59.3	25

# 7
For Rb3CdSb, a crystal structure in Alexandria, relaxed with GGA-PBE gives the theoretical X-ray diffraction stick pattern in this record (a wavelength of 1.5418 Å).

Crystal structure
```
Rb3CdSb
1.0
-5.7606 5.3353 4.8659
5.7606 -5.3353 4.8659
5.7606 5.3353 -4.8659
Rb Cd Sb
6 2 2
Cartesian
0.6489 2.0650 0.0000
5.1117 2.0650 0.0000
2.8803 -1.1299 6.4386
2.8803 6.4652 1.5728
0.6489 3.2703 4.8659
5.1117 3.2703 4.8659
2.8803 4.9507 -1.9861
2.8803 0.3845 2.8798
8.6409 0.8110 0.2931
-2.8803 4.5243 5.1590
```

Most intense lines, 2θ from 10° to 90°, low angle first:
2θ/deg	Rel. int.
12.3	68
15.4	52
20.5	33
22.7	100
24.6	48
28.8	59
30.1	43
30.8	46
32.1	49
32.8	36

# 8
For AcHoAg2Se4, a crystal structure in Alexandria, relaxed with GGA-PBE gives the theoretical X-ray diffraction stick pattern in this record (a wavelength of 1.5418 Å).

Crystal structure
```
AcHoAg2Se4
1.0
-3.5589 3.6812 4.1955
3.5589 -3.6812 4.1955
3.5589 3.6812 -4.1955
Ac Ho Ag Se
1 1 2 4
Cartesian
0.0000 0.0000 0.0000
0.0000 0.0000 4.1955
3.5589 0.0000 2.7767
0.0000 3.6812 1.4187
1.9991 2.0310 -1.5323
5.1186 2.0310 1.5323
1.5597 1.6501 2.6632
-1.5597 1.6501 5.7277
```

Most intense lines, 2θ from 10° to 90°, low angle first:
2θ/deg	Rel. int.
17.3	13
27.5	100
29.3	13
32.4	24
33.0	22
35.1	70
44.6	28
45.6	26
46.8	27
77.8	13